Structure and theoretical powder XRD pattern of Li6GaGe (DFT lattice parameters and positions (PBE); Cu Kα (weighted mean of Kα1 and Kα2)).

Structural model:
Cell lengths 5.7205, 5.7205, 4.5560 Å; angles 90.00, 90.00, 120.00 degrees
Space group P-6m2 (No. 187)
Inequivalent atoms, fractional coordinates:
Li  0.0234  0.5117  0.0000 x3
Li  0.3219  0.1610  0.5000 x3
Ga  0.0000  0.0000  0.0000 x1
Ge  0.3333  0.6667  0.5000 x1

Principal peaks in the range 2θ from 5° to 70°, by angle:
2θ/deg, I_rel, index
17.90, 46, 1 0 0
26.58, 100, 1 0 1
31.27, 45, 1 1 0
36.27, 13, 2 0 0
39.56, 13, 0 0 2
41.49, 51, 2 0 1
43.74, 9, 1 0 2
51.27, 22, 1 1 2
52.86, 31, 2 1 1
65.24, 9, 2 2 0